Record 1
# Sm8Sb3O8
Computed XRD peak list, Cu Kα (λ = 1.5418 Å). Input: a DFT-relaxed cell (GGA-PBE, the Materials Project).

Main lines, sorted by position (2θ from 15° to 90°):
- 29.25°, I 57.8, (2 0 -5)
- 29.68°, I 53.7, (4 0 1)
- 30.89°, I 100.0, (3 1 -2)
- 31.40°, I 84.1, (1 1 3)
- 41.36°, I 19.2, (6 0 -4)
- 46.99°, I 21.7, (0 2 0)
- 52.57°, I 19.3, (5 1 -7)
- 53.10°, I 18.0, (7 1 -1)
- 56.31°, I 18.1, (2 2 -5)
- 56.56°, I 17.0, (4 2 1)

Atomic structure:
Cell lengths 13.704, 3.868, 15.465 Å; angles 90.00, 107.29, 90.00 degrees
Space group C2 (No. 5)
One atom of each set of equivalent atoms:
Sm 0.045 0.000 0.332 (multiplicity 4)
Sm 0.123 0.500 0.154 (multiplicity 4)
Sm 0.143 0.000 0.931 (multiplicity 4)
Sm 0.219 0.998 0.588 (multiplicity 4)
Sb 0.000 0.464 0.500 (multiplicity 2)
Sb 0.172 0.501 0.767 (multiplicity 4)
O 0.031 0.000 0.133 (multiplicity 4)
O 0.118 0.498 0.300 (multiplicity 4)
O 0.165 0.500 0.014 (multiplicity 4)
O 0.204 0.996 0.434 (multiplicity 4)

***

Record 2
# Sm2SbO2
Computed XRD peak list, Cu Kα (λ = 1.5418 Å). Input: a DFT-relaxed cell (GGA-PBE, the Materials Project).

Main lines, sorted by position (2θ from 15° to 90°):
- 29.96°, I 100.0, (1 0 3)
- 32.04°, I 35.4, (1 1 0)
- 39.62°, I 10.0, (0 0 6)
- 45.95°, I 17.7, (2 0 0)
- 51.83°, I 24.5, (1 1 6)
- 55.83°, I 34.4, (2 1 3)
- 62.25°, I 10.8, (2 0 6)
- 65.98°, I 10.2, (1 0 9)
- 84.13°, I 10.6, (2 1 9)
- 89.51°, I 10.4, (3 1 6)

Atomic structure:
Cell lengths 3.950, 3.950, 13.649 Å; angles 90.00, 90.00, 90.00 degrees
Space group I4/mmm (No. 139)
One atom of each set of equivalent atoms:
Sm 0.000 0.000 0.164 (multiplicity 4)
Sb 0.000 0.000 0.500 (multiplicity 2)
O 0.000 0.500 0.250 (multiplicity 4)

***

Record 3
# Sm9Sb5O5
Computed XRD peak list, Cu Kα (λ = 1.5418 Å). Input: a DFT-relaxed cell (GGA-PBE, the Materials Project).

Main lines, sorted by position (2θ from 15° to 90°):
- 27.88°, I 46.0, (3 1 0)
- 29.42°, I 69.2, (0 0 3)
- 29.60°, I 100.0, (3 1 1)
- 34.26°, I 94.8, (3 1 2)
- 39.86°, I 64.7, (2 4 0)
- 40.99°, I 20.0, (3 1 3)
- 49.12°, I 19.3, (3 1 4)
- 50.31°, I 54.5, (2 4 3)
- 58.30°, I 26.5, (3 1 5)
- 66.06°, I 34.2, (6 2 3)

Atomic structure:
Cell lengths 10.115, 10.115, 9.107 Å; angles 90.00, 90.00, 90.00 degrees
Space group P4/n (No. 85, origin choice 2)
One atom of each set of equivalent atoms:
Sm 0.024 0.332 0.001 (multiplicity 8)
Sm 0.045 0.854 0.657 (multiplicity 8)
Sm 0.250 0.250 0.670 (multiplicity 2)
Sb 0.054 0.846 0.301 (multiplicity 8)
Sb 0.250 0.250 0.316 (multiplicity 2)
O 0.025 0.870 0.911 (multiplicity 8)
O 0.250 0.250 0.934 (multiplicity 2)

***

Record 4
# SnSbO4
Computed XRD peak list, Cu Kα (λ = 1.5418 Å). Input: a DFT-relaxed cell (GGA-PBE, the Materials Project).

Main lines, sorted by position (2θ from 15° to 90°):
- 25.73°, I 100.0, (2 0 0)
- 32.53°, I 82.4, (1 1 1)
- 36.71°, I 23.5, (2 2 0)
- 49.85°, I 69.9, (1 3 1)
- 52.82°, I 8.3, (0 4 0)
- 55.18°, I 8.6, (0 0 2)
- 61.85°, I 17.1, (2 0 2)
- 63.48°, I 21.2, (3 3 1)
- 68.12°, I 8.8, (2 2 2)
- 85.69°, I 12.2, (4 2 2)

Atomic structure:
Cell lengths 6.915, 6.933, 3.329 Å; angles 90.00, 90.00, 90.00 degrees
Space group Cmmm (No. 65)
One atom of each set of equivalent atoms:
Sn 0.000 0.000 0.000 (multiplicity 2)
Sb 0.000 0.500 0.500 (multiplicity 2)
O 0.000 0.191 0.500 (multiplicity 4)
O 0.192 0.500 0.000 (multiplicity 4)

***

Record 5
# SrSb2O6
Computed XRD peak list, Cu Kα (λ = 1.5418 Å). Input: a DFT-relaxed cell (GGA-PBE, the Materials Project).

Main lines, sorted by position (2θ from 15° to 90°):
- 28.37°, I 30.7, (2 2 0)
- 28.67°, I 100.0, (3 1 -3)
- 29.72°, I 75.3, (2 2 -2)
- 30.06°, I 98.7, (0 0 4)
- 34.51°, I 26.8, (2 2 2)
- 49.92°, I 44.2, (2 2 -6)
- 51.66°, I 20.4, (0 4 2)
- 52.08°, I 23.4, (5 3 -1)
- 58.71°, I 23.7, (4 4 0)
- 59.30°, I 21.2, (2 2 6)

Atomic structure:
Cell lengths 12.595, 7.414, 12.598 Å; angles 90.00, 109.28, 90.00 degrees
Space group C2/c (No. 15)
One atom of each set of equivalent atoms:
Sr 0.209 0.108 0.282 (multiplicity 8)
Sb 0.000 0.000 0.000 (multiplicity 4)
Sb 0.000 0.257 0.750 (multiplicity 4)
Sb 0.000 0.500 0.000 (multiplicity 4)
Sb 0.250 0.250 0.000 (multiplicity 4)
O 0.030 0.051 0.662 (multiplicity 8)
O 0.037 0.250 0.462 (multiplicity 8)
O 0.055 0.444 0.667 (multiplicity 8)
O 0.164 0.457 0.029 (multiplicity 8)
O 0.165 0.065 0.056 (multiplicity 8)
O 0.166 0.223 0.834 (multiplicity 8)